Record 1
The following is a calculated powder diffraction line list of HfCrCuS4. It was derived from a crystal structure in the Materials Project, relaxed with GGA-PBE, using Cu Kα, 1.54184 Å.
Kinematic intensities with the Lorentz-polarization factor, no thermal factor.

Cell and atoms:
a b c (Å): 6.983 7.063 12.273
angles (deg): 90.00 90.00 90.00
Fractional positions:
Hf  0.029  0.250  0.180
Hf  0.471  0.750  0.680
Hf  0.529  0.250  0.320
Hf  0.971  0.750  0.820
Cr  0.152  0.250  0.426
Cr  0.348  0.750  0.926
Cr  0.652  0.250  0.074
Cr  0.848  0.750  0.574
Cu  0.228  0.250  0.899
Cu  0.272  0.750  0.399
Cu  0.728  0.250  0.601
Cu  0.772  0.750  0.101
S  0.077  0.750  0.019
S  0.162  0.750  0.575
S  0.235  0.022  0.301
S  0.235  0.478  0.301
S  0.265  0.522  0.801
S  0.265  0.978  0.801
S  0.338  0.250  0.075
S  0.423  0.250  0.519
S  0.577  0.750  0.481
S  0.662  0.750  0.925
S  0.735  0.022  0.199
S  0.735  0.478  0.199
S  0.765  0.522  0.699
S  0.765  0.978  0.699
S  0.838  0.250  0.425
S  0.923  0.250  0.981

Largest 6 diffraction maxima, by intensity, 10 to 90 degrees two-theta:
two_theta  I (rel.)
14.47  100
25.22  65
34.36  47
29.45  37
47.11  21
19.26  20

Record 2
The following is a calculated powder diffraction line list of HfCrCuS4. It was derived from a crystal structure in the Materials Project, relaxed with GGA-PBE, using Cu Kα, 1.54184 Å.
Kinematic intensities with the Lorentz-polarization factor, no thermal factor.

Cell and atoms:
a b c (Å): 7.162 7.162 7.162
angles (deg): 119.52 119.28 91.05
Fractional positions:
Hf  0.237  0.250  0.487
Hf  0.263  0.750  0.013
Cr  0.250  0.752  0.502
Cr  0.750  0.748  0.998
Cu  0.623  0.373  0.250
Cu  0.877  0.127  0.750
S  0.012  0.515  0.513
S  0.488  0.001  0.503
S  0.501  0.524  0.521
S  0.502  0.499  0.987
S  0.503  0.980  0.979
S  0.997  0.976  0.476
S  0.998  0.985  0.997
S  0.999  0.520  0.024

Largest 6 diffraction maxima, by intensity, 10 to 90 degrees two-theta:
two_theta  I (rel.)
29.04  100
15.09  66
51.01  60
29.41  52
35.12  42
46.17  32

Record 3
The following is a calculated powder diffraction line list of HfCrCuS4. It was derived from a crystal structure in the Materials Project, relaxed with GGA-PBE, using Cu Kα, 1.54184 Å.
Kinematic intensities with the Lorentz-polarization factor, no thermal factor.

Cell and atoms:
a b c (Å): 6.095 3.551 11.585
angles (deg): 90.00 90.11 90.00
Fractional positions:
Hf  0.247  0.250  0.496
Hf  0.753  0.750  0.504
Cr  0.267  0.250  0.011
Cr  0.733  0.750  0.989
Cu  0.236  0.250  0.770
Cu  0.764  0.750  0.230
S  0.080  0.750  0.366
S  0.090  0.750  0.893
S  0.412  0.750  0.630
S  0.422  0.750  0.118
S  0.578  0.250  0.882
S  0.588  0.250  0.370
S  0.910  0.250  0.107
S  0.920  0.250  0.634

Largest 6 diffraction maxima, by intensity, 10 to 90 degrees two-theta:
two_theta  I (rel.)
42.94  100
15.30  77
33.05  65
29.10  64
43.09  49
51.84  41